Record 1
Calculated powder diffraction line list
Compound: Sr5Ga6O14
Radiation: Cu Kα X-rays
Structure: a cell relaxed with PBE
No peak broadening, texture or thermal motion is included.

Top 8 peaks for 2θ = 10–90°, by intensity:
- d 2.619, rel. 100
- d 3.098, rel. 92
- d 3.047, rel. 90
- d 3.020, rel. 84
- d 3.123, rel. 80
- d 2.748, rel. 63
- d 2.568, rel. 58
- d 1.909, rel. 36

Structure:
```
Sr5Ga6O14
1.0
8.281 0.000 0.000
0.000 8.285 0.000
-0.444 0.000 10.995
Sr Ga O
10 12 28
direct
0.000 0.000 0.000
0.000 0.500 0.500
0.161 0.092 0.470
0.161 0.408 0.970
0.408 0.747 0.002
0.408 0.753 0.502
0.592 0.247 0.498
0.592 0.253 0.998
0.839 0.592 0.030
0.839 0.908 0.530
0.105 0.729 0.739
0.105 0.771 0.239
0.269 0.086 0.754
0.269 0.414 0.254
0.386 0.059 0.213
0.386 0.441 0.713
0.614 0.559 0.287
0.614 0.941 0.787
0.731 0.586 0.746
0.731 0.914 0.246
0.895 0.229 0.761
0.895 0.271 0.261
0.101 0.181 0.839
0.101 0.319 0.339
0.105 0.721 0.905
0.105 0.779 0.405
0.165 0.577 0.161
0.165 0.923 0.661
0.228 0.582 0.650
0.228 0.918 0.150
0.338 0.238 0.639
0.338 0.262 0.139
0.412 0.059 0.378
0.412 0.441 0.878
0.425 0.010 0.865
0.425 0.490 0.365
0.575 0.510 0.635
0.575 0.990 0.135
0.588 0.559 0.122
0.588 0.941 0.622
0.662 0.738 0.861
0.662 0.762 0.361
0.772 0.082 0.850
0.772 0.418 0.350
0.835 0.077 0.339
0.835 0.423 0.839
0.895 0.221 0.595
0.895 0.279 0.095
0.899 0.681 0.661
0.899 0.819 0.161
```

---

Record 2
Calculated powder diffraction line list
Compound: SrGa4O7
Radiation: Cu Kα X-rays
Structure: a cell relaxed with PBE
No peak broadening, texture or thermal motion is included.

Top 8 peaks for 2θ = 10–90°, by intensity:
- d 3.678, rel. 100
- d 2.728, rel. 67
- d 2.784, rel. 61
- d 2.916, rel. 43
- d 4.660, rel. 41
- d 2.936, rel. 35
- d 2.184, rel. 33
- d 2.687, rel. 29

Structure:
```
SrGa4O7
1.0
6.825 -4.660 0.000
6.825 4.660 0.000
-1.541 0.000 5.567
Sr Ga O
2 8 14
direct
0.189 0.811 0.750
0.811 0.189 0.250
0.081 0.256 0.800
0.256 0.081 0.300
0.319 0.443 0.241
0.443 0.319 0.741
0.557 0.681 0.259
0.681 0.557 0.759
0.744 0.919 0.700
0.919 0.744 0.200
0.069 0.164 0.059
0.136 0.625 0.354
0.164 0.069 0.559
0.250 0.373 0.907
0.373 0.250 0.407
0.375 0.864 0.146
0.466 0.534 0.750
0.534 0.466 0.250
0.625 0.136 0.854
0.627 0.750 0.593
0.750 0.627 0.093
0.836 0.931 0.441
0.864 0.375 0.646
0.931 0.836 0.941
```

---

Record 3
Calculated powder diffraction line list
Compound: SrGa2O4
Radiation: Cu Kα X-rays
Structure: a cell relaxed with PBE
No peak broadening, texture or thermal motion is included.

Top 8 peaks for 2θ = 10–90°, by intensity:
- d 2.647, rel. 100
- d 3.228, rel. 98
- d 3.101, rel. 88
- d 3.039, rel. 76
- d 2.700, rel. 67
- d 1.986, rel. 34
- d 1.549, rel. 27
- d 1.586, rel. 25

Structure:
```
SrGa2O4
1.0
8.487 0.000 0.000
0.000 9.111 0.000
-0.763 0.000 10.801
Sr Ga O
8 16 32
direct
0.002 0.213 0.369
0.002 0.287 0.869
0.465 0.740 0.149
0.465 0.760 0.649
0.535 0.240 0.351
0.535 0.260 0.851
0.998 0.713 0.131
0.998 0.787 0.631
0.178 0.058 0.139
0.178 0.442 0.639
0.220 0.564 0.370
0.220 0.936 0.870
0.295 0.107 0.620
0.295 0.393 0.120
0.304 0.595 0.889
0.304 0.905 0.389
0.696 0.095 0.611
0.696 0.405 0.111
0.705 0.607 0.880
0.705 0.893 0.380
0.780 0.064 0.130
0.780 0.436 0.630
0.822 0.558 0.361
0.822 0.942 0.861
0.020 0.011 0.821
0.020 0.489 0.321
0.153 0.245 0.074
0.153 0.255 0.574
0.218 0.566 0.041
0.218 0.934 0.541
0.228 0.748 0.292
0.228 0.752 0.792
0.261 0.584 0.539
0.261 0.916 0.039
0.283 0.079 0.298
0.283 0.421 0.798
0.350 0.061 0.786
0.350 0.439 0.286
0.490 0.161 0.566
0.490 0.339 0.066
0.510 0.661 0.934
0.510 0.839 0.434
0.650 0.561 0.714
0.650 0.939 0.214
0.717 0.579 0.202
0.717 0.921 0.702
0.739 0.084 0.961
0.739 0.416 0.461
0.772 0.248 0.208
0.772 0.252 0.708
0.782 0.066 0.459
0.782 0.434 0.959
0.847 0.745 0.426
0.847 0.755 0.926
0.980 0.511 0.679
0.980 0.989 0.179
```

---

Q: What is the formula in the second record?
A: SrGa4O7

---

Q: Which formula does entry 2 have?
A: SrGa4O7